Record 1
This entry pairs a crystal structure of K2Ga2Sb3 with its computed powder diffraction line list. Radiation: a wavelength of 1.5418 Å. Structure: DFT lattice parameters and positions (GGA-PBE).

Cell and atoms:
```
data_K2Ga2Sb3
_chemical_formula_sum 'K16 Ga16 Sb24'
_cell_length_a 15.0069
_cell_length_b 7.3448
_cell_length_c 16.8927
_cell_angle_alpha 90.00
_cell_angle_beta 90.51
_cell_angle_gamma 90.00
_space_group_name_H-M_alt 'P 1 21/c 1'
_space_group_IT_number 14
loop_
_space_group_symop_operation_xyz
'x,y,z'
'-x,-y,-z'
'-x,y+1/2,-z+1/2'
'x,-y+1/2,z+1/2'
loop_
_atom_site_label
_atom_site_type_symbol
_atom_site_fract_x
_atom_site_fract_y
_atom_site_fract_z
K1 K 0.0564 0.0458 0.1080
K2 K 0.1522 0.5397 0.0199
K3 K 0.3565 0.0251 0.0079
K4 K 0.4251 0.5250 0.1128
Ga1 Ga 0.0920 0.7345 0.2601
Ga2 Ga 0.1856 0.2159 0.3302
Ga3 Ga 0.3177 0.7302 0.3240
Ga4 Ga 0.4093 0.2088 0.2699
Sb1 Sb 0.0253 0.0366 0.3347
Sb2 Sb 0.1706 0.5575 0.3862
Sb3 Sb 0.2479 0.6819 0.6784
Sb4 Sb 0.2541 0.2119 0.1821
Sb5 Sb 0.3364 0.0491 0.4007
Sb6 Sb 0.4725 0.5332 0.3266
```

Principal peaks in the range 10 to 90 degrees two-theta, sorted by position:
Position (°2θ), Rel. int.
10.5, 100
26.7, 27
27.0, 34
27.2, 34
29.1, 24
29.7, 28

***

Record 2
This entry pairs a crystal structure of NaTlO2 with its computed powder diffraction line list. Radiation: a wavelength of 1.5418 Å. Structure: DFT lattice parameters and positions (GGA-PBE).

Cell and atoms:
```
data_NaTlO2
_chemical_formula_sum 'Na1 Tl1 O2'
_cell_length_a 3.4548
_cell_length_b 3.4548
_cell_length_c 4.5193
_cell_angle_alpha 90.00
_cell_angle_beta 90.00
_cell_angle_gamma 90.00
_space_group_name_H-M_alt 'P 4/m m m'
_space_group_IT_number 123
_space_group_name_Hall '-P 4 2'
loop_
_atom_site_label
_atom_site_type_symbol
_atom_site_fract_x
_atom_site_fract_y
_atom_site_fract_z
Na1 Na 0.0000 0.0000 0.0000
Tl1 Tl 0.5000 0.5000 0.5000
O1 O 0.0000 0.0000 0.5000
O2 O 0.5000 0.5000 0.0000
```

Principal peaks in the range 10 to 90 degrees two-theta, sorted by position:
Position (°2θ), Rel. int.
19.6, 73
25.8, 76
32.6, 100
36.8, 67
42.0, 43
55.4, 39

***

Record 3
This entry pairs a crystal structure of SiO2 with its computed powder diffraction line list. Radiation: a wavelength of 1.5418 Å. Structure: DFT lattice parameters and positions (GGA-PBE).

Cell and atoms:
```
data_SiO2
_chemical_formula_sum 'Si4 O8'
_cell_length_a 4.8151
_cell_length_b 4.8585
_cell_length_c 5.9489
_cell_angle_alpha 90.68
_cell_angle_beta 93.40
_cell_angle_gamma 104.98
_space_group_name_H-M_alt 'P 1'
_space_group_IT_number 1
loop_
_space_group_symop_operation_xyz
'x,y,z'
loop_
_atom_site_label
_atom_site_type_symbol
_atom_site_fract_x
_atom_site_fract_y
_atom_site_fract_z
Si1 Si 0.0000 0.0000 0.0000
Si2 Si 0.1317 0.7927 0.4501
Si3 Si 0.3535 0.5915 0.0663
Si4 Si 0.6480 0.2852 0.6971
O1 O 0.0732 0.3315 0.0675
O2 O 0.2604 0.8570 0.9374
O3 O 0.3398 0.1128 0.5543
O4 O 0.3879 0.6768 0.3371
O5 O 0.5747 0.4730 0.9138
O6 O 0.7827 0.0147 0.7781
O7 O 0.9087 0.5238 0.5768
O8 O 0.9126 0.8583 0.2437
```

Principal peaks in the range 10 to 90 degrees two-theta, sorted by position:
Position (°2θ), Rel. int.
23.6, 45
23.8, 50
27.3, 88
28.1, 100
30.4, 81
34.8, 42

***

Record 4
This entry pairs a crystal structure of La8Ti2Ga2O19 with its computed powder diffraction line list. Radiation: a wavelength of 1.5418 Å. Structure: DFT lattice parameters and positions (GGA-PBE).

Cell and atoms:
```
data_La8Ti2Ga2O19
_chemical_formula_sum 'La8 Ti2 Ga2 O19'
_cell_length_a 11.1850
_cell_length_b 3.9567
_cell_length_c 11.4057
_cell_angle_alpha 90.00
_cell_angle_beta 90.09
_cell_angle_gamma 90.00
_space_group_name_H-M_alt 'P 1 m 1'
_space_group_IT_number 6
loop_
_space_group_symop_operation_xyz
'x,y,z'
'x,-y,z'
loop_
_atom_site_label
_atom_site_type_symbol
_atom_site_fract_x
_atom_site_fract_y
_atom_site_fract_z
La1 La 0.0000 0.0000 0.0000
La2 La 0.0352 0.0000 0.6541
La3 La 0.2665 0.5000 0.1564
La4 La 0.3071 0.5000 0.5073
La5 La 0.4848 0.0000 0.9215
La6 La 0.5229 0.0000 0.3011
La7 La 0.7639 0.5000 0.7761
La8 La 0.8018 0.5000 0.4381
Ti1 Ti 0.0959 0.0000 0.3461
Ti2 Ti 0.2069 0.5000 0.8448
Ga1 Ga 0.5947 0.0000 0.5922
Ga2 Ga 0.7181 0.5000 0.0910
O1 O 0.1196 0.5000 0.9869
O2 O 0.1357 0.0000 0.1807
O3 O 0.1393 0.5000 0.3393
O4 O 0.1704 0.0000 0.8423
O5 O 0.1715 0.5000 0.6837
O6 O 0.1826 0.0000 0.4888
O7 O 0.3635 0.5000 0.8883
O8 O 0.4065 0.0000 0.1152
O9 O 0.4056 0.5000 0.3203
O10 O 0.4381 0.0000 0.5320
O11 O 0.6164 0.5000 0.9670
O12 O 0.6237 0.0000 0.7609
O13 O 0.6467 0.5000 0.5960
O14 O 0.6666 0.5000 0.2387
O15 O 0.6832 0.0000 0.4408
O16 O 0.8695 0.5000 0.0430
O17 O 0.8958 0.0000 0.8179
O18 O 0.9101 0.5000 0.6173
O19 O 0.9420 0.0000 0.3924
```

Principal peaks in the range 10 to 90 degrees two-theta, sorted by position:
Position (°2θ), Rel. int.
24.7, 23
27.6, 100
28.4, 65
28.6, 29
32.7, 33
46.4, 29

***

Record 5
This entry pairs a crystal structure of BiSI with its computed powder diffraction line list. Radiation: a wavelength of 1.5418 Å. Structure: DFT lattice parameters and positions (GGA-PBE).

Cell and atoms:
```
data_BiSI
_chemical_formula_sum 'Bi4 S4 I4'
_cell_length_a 8.8871
_cell_length_b 4.2081
_cell_length_c 11.0713
_cell_angle_alpha 90.00
_cell_angle_beta 90.00
_cell_angle_gamma 90.00
_space_group_name_H-M_alt 'P n m a'
_space_group_IT_number 62
loop_
_space_group_symop_operation_xyz
'x,y,z'
'-x,-y,-z'
'-x+1/2,-y,z+1/2'
'x+1/2,y,-z+1/2'
'x+1/2,-y+1/2,-z+1/2'
'-x+1/2,y+1/2,z+1/2'
'-x,y+1/2,-z'
'x,-y+1/2,z'
loop_
_atom_site_label
_atom_site_type_symbol
_atom_site_fract_x
_atom_site_fract_y
_atom_site_fract_z
Bi1 Bi 0.1099 0.2500 0.1239
S1 S 0.1618 0.7500 0.9649
I1 I 0.0212 0.2500 0.6831
```

Principal peaks in the range 10 to 90 degrees two-theta, sorted by position:
Position (°2θ), Rel. int.
12.8, 30
18.9, 33
28.5, 100
29.2, 29
32.3, 34
44.1, 23

***

Record 6
This entry pairs a crystal structure of La4Ge7 with its computed powder diffraction line list. Radiation: a wavelength of 1.5418 Å. Structure: DFT lattice parameters and positions (GGA-PBE).

Cell and atoms:
```
data_La4Ge7
_chemical_formula_sum 'La16 Ge28'
_cell_length_a 6.1538
_cell_length_b 14.3750
_cell_length_c 12.3208
_cell_angle_alpha 90.00
_cell_angle_beta 90.00
_cell_angle_gamma 90.00
_space_group_name_H-M_alt 'C 2 2 21'
_space_group_IT_number 20
loop_
_space_group_symop_operation_xyz
'x,y,z'
'-x,-y,z+1/2'
'x,-y,-z'
'-x,y,-z+1/2'
'x+1/2,y+1/2,z'
'-x+1/2,-y+1/2,z+1/2'
'x+1/2,-y+1/2,-z'
'-x+1/2,y+1/2,-z+1/2'
loop_
_atom_site_label
_atom_site_type_symbol
_atom_site_fract_x
_atom_site_fract_y
_atom_site_fract_z
La1 La 0.0000 0.0042 0.2500
La2 La 0.0097 0.5000 0.0000
La3 La 0.2384 0.2542 0.6208
Ge1 Ge 0.0000 0.4314 0.7500
Ge2 Ge 0.0161 0.0874 0.9916
Ge3 Ge 0.1813 0.3494 0.3413
Ge4 Ge 0.2482 0.3262 0.8733
```

Principal peaks in the range 10 to 90 degrees two-theta, sorted by position:
Position (°2θ), Rel. int.
27.7, 39
31.6, 100
37.5, 48
41.5, 37
49.0, 19
57.1, 23

***

Record 7
This entry pairs a crystal structure of Sc3Nb3B4Ru10 with its computed powder diffraction line list. Radiation: a wavelength of 1.5418 Å. Structure: DFT lattice parameters and positions (GGA-PBE).

Cell and atoms:
```
data_Sc3Nb3B4Ru10
_chemical_formula_sum 'Sc6 Nb6 B8 Ru20'
_cell_length_a 3.0662
_cell_length_b 13.4384
_cell_length_c 13.4443
_cell_angle_alpha 90.00
_cell_angle_beta 90.00
_cell_angle_gamma 90.00
_space_group_name_H-M_alt 'A m m 2'
_space_group_IT_number 38
loop_
_space_group_symop_operation_xyz
'x,y,z'
'-x,-y,z'
'-x,y,z'
'x,-y,z'
'x,y+1/2,z+1/2'
'-x,-y+1/2,z+1/2'
'-x,y+1/2,z+1/2'
'x,-y+1/2,z+1/2'
loop_
_atom_site_label
_atom_site_type_symbol
_atom_site_fract_x
_atom_site_fract_y
_atom_site_fract_z
Sc1 Sc 0.0000 0.0000 0.0000
Sc2 Sc 0.0000 0.1750 0.3239
Nb1 Nb 0.0000 0.0000 0.6493
Nb2 Nb 0.0000 0.2486 0.0733
B1 B 0.0000 0.0000 0.2031
B2 B 0.0000 0.0000 0.4442
B3 B 0.0000 0.1217 0.8244
Ru1 Ru 0.5000 0.0000 0.3257
Ru2 Ru 0.5000 0.0000 0.8210
Ru3 Ru 0.5000 0.1029 0.5061
Ru4 Ru 0.5000 0.1058 0.1487
Ru5 Ru 0.5000 0.1725 0.7159
Ru6 Ru 0.5000 0.1766 0.9290
```

Principal peaks in the range 10 to 90 degrees two-theta, sorted by position:
Position (°2θ), Rel. int.
36.1, 46
39.1, 63
39.8, 34
42.1, 100
42.5, 47
45.4, 36

***

Question: Which formula does entry 6 have?
Answer: La4Ge7